Theoretical powder diffractogram of MgFe10O9F11 for Cu Kα (weighted mean of Kα1 and Kα2), from a cell relaxed with GGA+U.

Most intense lines, 10° ≤ 2θ ≤ 90°, by angle:
h k l, 2theta, I (rel.)
1 -1 0, 24.61, 100.0
1 1 0, 27.08, 88.1
1 0 -5, 34.53, 75.5
1 0 5, 34.60, 27.3
1 -1 5, 38.47, 19.8
2 -1 5, 50.09, 55.8
2 -2 0, 50.45, 21.9
2 1 -5, 52.82, 26.4
2 1 5, 52.94, 15.9
2 2 0, 55.84, 16.9

Structure:
```
MgFe10O9F11
1.0
4.880 0.000 0.000
-0.461 4.882 0.000
-0.020 -0.046 15.343
Mg Fe O F
1 10 9 11
Cartesian
0.000 0.000 0.000
-0.236 2.419 10.522
-0.217 2.442 1.648
1.958 4.820 15.195
1.962 4.835 12.163
2.442 0.051 2.855
2.446 0.009 9.198
2.227 4.697 6.032
4.443 2.332 4.647
4.489 2.298 7.502
4.629 2.391 13.563
0.818 4.025 13.679
0.852 4.132 1.414
1.045 3.901 10.655
3.219 0.774 7.627
3.285 0.797 4.447
3.348 0.926 10.690
3.558 0.761 1.388
3.567 0.759 13.685
3.522 3.296 5.990
0.783 1.412 5.958
0.825 1.429 9.157
0.880 1.572 12.119
0.914 1.515 3.132
0.911 1.655 15.122
0.994 3.859 4.482
1.048 3.803 7.609
3.399 3.281 3.093
3.480 3.131 15.120
3.512 3.238 12.119
3.516 3.357 9.181
```

---

Theoretical powder diffractogram of MgFe8O14F2 for Cu Kα (weighted mean of Kα1 and Kα2), from a cell relaxed with GGA+U.

Most intense lines, 10° ≤ 2θ ≤ 90°, by angle:
h k l, 2theta, I (rel.)
1 0 -1, 24.86, 100.0
1 2 1, 26.34, 94.9
1 0 3, 35.53, 47.7
0 2 -2, 35.81, 41.2
0 2 2, 35.98, 16.7
0 0 4, 50.85, 20.2
1 2 -3, 51.48, 27.0
2 2 4, 52.48, 20.9
1 4 -1, 53.10, 31.5
1 2 5, 64.39, 19.2

Structure:
```
MgFe8O14F2
1.0
5.676 0.000 0.000
2.402 6.971 0.000
2.788 -0.030 7.181
Mg Fe O F
1 8 14 2
Cartesian
0.000 0.000 0.000
3.551 2.546 4.581
4.698 5.779 4.348
5.196 0.897 6.327
6.376 4.151 6.123
5.690 6.027 1.084
4.681 2.703 1.297
6.235 0.872 2.894
7.551 4.342 2.884
3.490 1.735 6.312
3.483 3.157 2.767
4.740 4.025 5.197
1.835 0.303 0.920
6.175 5.985 5.722
6.231 2.458 7.003
5.913 5.433 2.880
5.145 1.367 4.476
4.783 4.421 0.438
4.745 0.811 1.588
9.006 6.654 6.394
6.319 2.751 2.239
7.636 3.605 4.733
8.736 5.949 3.328
2.317 0.866 3.945
7.616 5.130 0.907
```